[1]
Ag2H3Pt: theoretical powder X-ray diffraction pattern (λ = 1.5418 Å (Cu Kα)), based on a crystal structure in Alexandria, relaxed with GGA-PBE.
Peak positions follow from Bragg's law for the DFT cell and can differ from measured ones.

Structural model:
Lattice parameters (Å, degrees): 5.013 5.142 5.944 98.65 96.86 108.01
Space group P-1 (No. 2)
Asymmetric unit:
1 Ag 0.171 0.301 0.487 (multiplicity 2)
2 Ag 0.265 0.228 0.977 (multiplicity 2)
3 H 0.135 0.490 0.205 (multiplicity 2)
4 H 0.199 0.828 0.037 (multiplicity 2)
5 H 0.443 0.821 0.607 (multiplicity 2)
6 Pt 0.324 0.822 0.304 (multiplicity 2)

Principal peaks in the range 15° ≤ 2θ ≤ 90°, in order of rising 2θ:
2theta  I_rel
21.6  33
22.2  21
26.4  79
37.6  76
37.7  57
38.4  69
38.6  100
39.4  30

***

[2]
AgHPt: theoretical powder X-ray diffraction pattern (λ = 1.5418 Å (Cu Kα)), based on a crystal structure in Alexandria, relaxed with GGA-PBE.
Peak positions follow from Bragg's law for the DFT cell and can differ from measured ones.

Structural model:
Lattice parameters (Å, degrees): 4.673 2.866 5.578 90.00 90.00 90.00
Space group Pmc2_1 (No. 26)
Asymmetric unit:
1 Ag 0.000 0.162 0.000 (multiplicity 2)
2 H 0.500 0.100 0.407 (multiplicity 2)
3 Pt 0.500 0.398 0.705 (multiplicity 2)

Principal peaks in the range 15° ≤ 2θ ≤ 90°, in order of rising 2θ:
2theta  I_rel
35.2  22
36.8  56
37.6  100
38.5  51
40.3  54
45.4  29
61.0  24
70.9  22

***

[3]
Ag5H4Pt4: theoretical powder X-ray diffraction pattern (λ = 1.5418 Å (Cu Kα)), based on a crystal structure in Alexandria, relaxed with GGA-PBE.
Peak positions follow from Bragg's law for the DFT cell and can differ from measured ones.

Structural model:
Lattice parameters (Å, degrees): 10.963 10.963 2.859 90.00 90.00 90.00
Space group I4/m (No. 87)
Asymmetric unit:
1 Ag 0.000 0.000 0.000 (multiplicity 2)
2 Ag 0.131 0.195 0.500 (multiplicity 8)
3 H 0.075 0.738 0.000 (multiplicity 8)
4 Pt 0.069 0.645 0.500 (multiplicity 8)

Principal peaks in the range 15° ≤ 2θ ≤ 90°, in order of rising 2θ:
2theta  I_rel
32.7  22
34.7  33
36.4  95
36.7  78
42.0  51
43.4  100
46.6  31
60.7  23